# 1
For RbSr2AlS4, a crystal structure in Alexandria, relaxed with GGA-PBE gives the theoretical powder diffractogram in this record (Cu Kα (weighted mean of Kα1 and Kα2)).
Kinematic intensities with the Lorentz-polarization factor, no thermal factor.

Cell lengths 8.2773, 8.6025, 12.0539 Å; angles 90.00, 90.00, 90.00 degrees
Space group Imma (No. 74)
One atom of each set of equivalent atoms:
Rb1 0.2500 0.2500 0.2500 x4
Sr1 0.0000 0.0000 0.0000 x4
Sr2 0.2500 0.2500 0.7500 x4
Al1 0.0000 0.0000 0.5000 x4
S1 0.0000 0.0151 0.6878 x8
S2 0.2489 0.2500 0.9928 x8

Top 12 peaks for 5 to 70 degrees two-theta, low angle first:
| d/Å | two_theta | I_rel | hkl |
| --- | --- | --- | --- |
| 3.615 | 24.63 | 14 | 1 0 3 |
| 3.501 | 25.44 | 25 | 0 2 2 |
| 3.412 | 26.12 | 24 | 2 0 2 |
| 3.013 | 29.64 | 36 | 0 0 4 |
| 2.982 | 29.96 | 100 | 2 2 0 |
| 2.767 | 32.35 | 13 | 1 2 3 |
| 2.151 | 42.01 | 19 | 0 4 0 |
| 2.120 | 42.65 | 52 | 2 2 4 |
| 2.069 | 43.75 | 17 | 4 0 0 |
| 1.820 | 50.13 | 19 | 0 2 6 |
| 1.751 | 52.26 | 14 | 0 4 4 |
| 1.706 | 53.74 | 13 | 4 0 4 |

# 2
For Rb2TiAlSe4, a crystal structure in Alexandria, relaxed with GGA-PBE gives the theoretical powder diffractogram in this record (Cu Kα (weighted mean of Kα1 and Kα2)).
Kinematic intensities with the Lorentz-polarization factor, no thermal factor.

Cell lengths 6.1274, 14.2620, 24.9637 Å; angles 90.00, 90.00, 90.00 degrees
Space group Fddd (No. 70, origin choice 2)
One atom of each set of equivalent atoms:
Rb1 0.1250 0.1250 0.3040 x16
Ti1 0.1250 0.1250 0.1250 x8
Al1 0.1250 0.1250 0.6250 x8
Se1 0.1179 0.2779 0.8224 x32

Top 12 peaks for 5 to 70 degrees two-theta, low angle first:
| d/Å | two_theta | I_rel | hkl |
| --- | --- | --- | --- |
| 6.241 | 14.19 | 19 | 0 0 4 |
| 3.714 | 23.96 | 30 | 1 3 1 |
| 3.594 | 24.77 | 24 | 0 2 6 |
| 3.423 | 26.03 | 100 | 1 3 3 |
| 3.120 | 28.61 | 32 | 0 0 8 |
| 3.002 | 29.77 | 93 | 1 3 5 |
| 2.975 | 30.03 | 34 | 2 0 2 |
| 2.467 | 36.42 | 35 | 2 0 6 |
| 1.935 | 46.95 | 22 | 2 0 10 |
| 1.878 | 48.47 | 30 | 2 6 0 |
| 1.831 | 49.81 | 17 | 3 3 3 |
| 1.757 | 52.06 | 20 | 3 3 5 |

# 3
For RbAlSi, a crystal structure in Alexandria, relaxed with GGA-PBE gives the theoretical powder diffractogram in this record (Cu Kα (weighted mean of Kα1 and Kα2)).
Kinematic intensities with the Lorentz-polarization factor, no thermal factor.

Cell lengths 4.2688, 5.8701, 7.4324 Å; angles 90.00, 90.00, 90.00 degrees
Space group Pmmm (No. 47)
One atom of each set of equivalent atoms:
Rb1 0.0000 0.0000 0.0000 x1
Rb2 0.5000 0.0000 0.5000 x1
Al1 0.0000 0.5000 0.3243 x2
Si1 0.5000 0.5000 0.1585 x2

Top 12 peaks for 5 to 70 degrees two-theta, low angle first:
| d/Å | two_theta | I_rel | hkl |
| --- | --- | --- | --- |
| 3.707 | 24.01 | 20 | 1 0 1 |
| 3.134 | 28.48 | 100 | 1 1 1 |
| 2.935 | 30.46 | 22 | 0 2 0 |
| 2.301 | 39.15 | 11 | 1 2 1 |
| 2.143 | 42.17 | 17 | 1 0 3 |
| 2.134 | 42.35 | 8 | 2 0 0 |
| 1.771 | 51.59 | 6 | 0 1 4 |
| 1.765 | 51.79 | 12 | 2 1 2 |
| 1.730 | 52.91 | 34 | 1 2 3 |
| 1.726 | 53.05 | 9 | 2 2 0 |
| 1.365 | 68.77 | 7 | 1 1 5 |
| 1.360 | 69.09 | 5 | 3 1 1 |

# 4
For RbAlSi, a crystal structure in Alexandria, relaxed with GGA-PBE gives the theoretical powder diffractogram in this record (Cu Kα (weighted mean of Kα1 and Kα2)).
Kinematic intensities with the Lorentz-polarization factor, no thermal factor.

Cell lengths 7.3408, 8.3211, 7.4416 Å; angles 90.00, 120.31, 90.00 degrees
Space group P2_1/c (No. 14)
One atom of each set of equivalent atoms:
Rb1 0.0540 0.2494 0.0455 x4
Al1 0.4541 0.6230 0.3809 x4
Si1 0.4497 0.6191 0.0443 x4

Top 12 peaks for 5 to 70 degrees two-theta, low angle first:
| d/Å | two_theta | I_rel | hkl |
| --- | --- | --- | --- |
| 4.161 | 21.36 | 59 | 0 2 0 |
| 3.478 | 25.61 | 77 | 1 2 0 |
| 3.208 | 27.81 | 100 | 2 0 -2 |
| 3.169 | 28.16 | 55 | 2 0 0 |
| 2.996 | 29.82 | 23 | 0 1 2 |
| 2.961 | 30.18 | 41 | 2 1 0 |
| 2.773 | 32.28 | 43 | 1 2 -2 |
| 2.542 | 35.31 | 31 | 0 2 2 |
| 2.539 | 35.35 | 33 | 2 2 -2 |
| 2.086 | 43.37 | 26 | 3 2 -2 |
| 1.977 | 45.91 | 39 | 1 4 0 |
| 1.816 | 50.25 | 23 | 1 4 -2 |

# 5
For RbAlSn, a crystal structure in Alexandria, relaxed with GGA-PBE gives the theoretical powder diffractogram in this record (Cu Kα (weighted mean of Kα1 and Kα2)).
Kinematic intensities with the Lorentz-polarization factor, no thermal factor.

Cell lengths 4.5233, 7.0826, 9.3149 Å; angles 99.90, 103.94, 108.62 degrees
Space group P1 (No. 1)
One atom of each set of equivalent atoms:
Rb1 0.0000 0.0000 0.0000 x1
Rb2 0.0553 0.6531 0.4633 x1
Al1 0.1230 0.4409 0.8085 x1
Al2 0.7101 0.4444 0.9770 x1
Sn1 0.3749 0.6180 0.1326 x1
Sn2 0.4558 0.2625 0.6526 x1

Top 12 peaks for 5 to 70 degrees two-theta, low angle first:
| d/Å | two_theta | I_rel | hkl |
| --- | --- | --- | --- |
| 6.027 | 14.70 | 27 | 0 1 -1 |
| 4.624 | 19.20 | 45 | 0 1 1 |
| 4.352 | 20.41 | 27 | 0 0 2 |
| 3.596 | 24.76 | 100 | 1 0 -2 |
| 3.338 | 26.71 | 47 | 0 2 -1 |
| 3.181 | 28.05 | 50 | 1 1 -1 |
| 2.971 | 30.08 | 31 | -1 2 1 |
| 2.963 | 30.16 | 26 | 0 1 -3 |
| 2.587 | 34.67 | 30 | 1 0 2 |
| 2.547 | 35.23 | 32 | 1 1 1 |
| 2.262 | 39.86 | 25 | -2 1 1 |
| 2.127 | 42.51 | 26 | 1 -3 2 |

# 6
For RbAlSn, a crystal structure in Alexandria, relaxed with GGA-PBE gives the theoretical powder diffractogram in this record (Cu Kα (weighted mean of Kα1 and Kα2)).
Kinematic intensities with the Lorentz-polarization factor, no thermal factor.

Cell lengths 5.9711, 8.0684, 4.6989 Å; angles 90.00, 90.00, 90.00 degrees
Space group Pmc2_1 (No. 26)
One atom of each set of equivalent atoms:
Rb1 0.0000 0.2493 0.0000 x2
Al1 0.5000 0.0654 0.5008 x2
Sn1 0.5000 0.3989 0.4997 x2

Top 12 peaks for 5 to 70 degrees two-theta, low angle first:
| d/Å | two_theta | I_rel | hkl |
| --- | --- | --- | --- |
| 8.068 | 10.97 | 31 | 0 1 0 |
| 4.800 | 18.49 | 21 | 1 1 0 |
| 3.358 | 26.55 | 100 | 1 1 1 |
| 3.343 | 26.67 | 34 | 1 2 0 |
| 2.986 | 29.93 | 35 | 2 0 0 |
| 2.724 | 32.88 | 18 | 1 2 1 |
| 2.349 | 38.31 | 18 | 0 0 2 |
| 2.334 | 38.57 | 33 | 0 3 1 |
| 1.922 | 47.29 | 14 | 1 2 2 |
| 1.846 | 49.36 | 18 | 2 0 2 |
| 1.839 | 49.57 | 32 | 2 3 1 |
| 1.787 | 51.13 | 22 | 3 1 1 |